(1)
Structure and calculated X-ray diffraction stick pattern of TlGe3Pt9 (the PBE geometry in Alexandria; Cu Kα, 1.54184 Å).
Neutral-atom scattering factors, no anomalous dispersion.

Structural model:
```
TlGe3Pt9
1.0
6.1618 -4.4419 0.0000
6.1618 4.4419 0.0000
-0.6829 0.0000 4.9339
Tl Ge Pt
1 3 9
Direct
0.0000 0.0000 0.0000
0.0000 0.5000 0.0000
0.5000 0.0000 0.0000
0.5000 0.5000 0.5000
0.0000 0.5000 0.5000
0.1900 0.1900 0.7402
0.1929 0.6746 0.2487
0.3254 0.8071 0.7513
0.5000 0.0000 0.5000
0.5000 0.5000 0.0000
0.6746 0.1929 0.2487
0.8071 0.3254 0.7513
0.8100 0.8100 0.2598
```

Main lines, by angle (2θ = 5–70°):
2θ/deg, I_rel
24.71, 100
27.01, 21
29.26, 29
38.28, 94
40.62, 62
42.76, 78
46.30, 57
48.13, 32
49.26, 54
50.84, 25

=====

(2)
Structure and calculated X-ray diffraction stick pattern of Nb6In3Fe (the PBE geometry in Alexandria; Cu Kα, 1.54184 Å).
Neutral-atom scattering factors, no anomalous dispersion.

Structural model:
```
Nb6In3Fe
1.0
5.1879 -3.0066 0.0000
5.1879 3.0066 0.0000
-2.0755 0.0000 6.7299
Nb In Fe
6 3 1
Direct
0.1217 0.6286 0.6363
0.3104 0.3104 0.2014
0.3714 0.8783 0.3637
0.6286 0.1217 0.6363
0.6896 0.6896 0.7986
0.8783 0.3714 0.3637
0.0000 0.0000 0.0000
0.1680 0.1680 0.7482
0.8320 0.8320 0.2518
0.5000 0.5000 0.5000
```

Main lines, by angle (2θ = 5–70°):
2θ/deg, I_rel
13.16, 32
32.62, 46
34.68, 73
35.42, 100
36.42, 96
38.88, 46
39.38, 83
40.79, 97
61.68, 33
63.35, 37

=====

(3)
Structure and calculated X-ray diffraction stick pattern of Rb2TbUS6 (the PBE geometry in Alexandria; Cu Kα, 1.54184 Å).
Neutral-atom scattering factors, no anomalous dispersion.

Structural model:
```
Rb2TbUS6
1.0
7.4376 0.0000 0.0000
0.0000 7.4376 0.0000
0.0000 0.0000 10.5171
Rb Tb U S
4 2 2 12
Direct
0.0000 0.5000 0.2500
0.0000 0.5000 0.7500
0.5000 0.0000 0.2500
0.5000 0.0000 0.7500
0.0000 0.0000 0.0000
0.5000 0.5000 0.5000
0.0000 0.0000 0.5000
0.5000 0.5000 0.0000
0.0000 0.0000 0.2583
0.0000 0.0000 0.7417
0.2410 0.2424 0.5000
0.2424 0.7590 0.5000
0.2576 0.2590 0.0000
0.2590 0.7424 0.0000
0.5000 0.5000 0.2417
0.5000 0.5000 0.7583
0.7410 0.2576 0.0000
0.7424 0.7410 0.0000
0.7576 0.2410 0.5000
0.7590 0.7576 0.5000
```

Main lines, by angle (2θ = 5–70°):
2θ/deg, I_rel
16.86, 37
23.93, 100
34.10, 49
38.27, 19
42.09, 46
48.99, 34
52.18, 10
55.23, 22
61.04, 12
66.53, 25

=====

(4)
Structure and calculated X-ray diffraction stick pattern of Tb3MgOs (the PBE geometry in Alexandria; Cu Kα, 1.54184 Å).
Neutral-atom scattering factors, no anomalous dispersion.

Structural model:
```
Tb3MgOs
1.0
5.4164 0.0000 0.0000
0.0000 5.4164 0.0000
0.0000 0.0000 5.4164
Tb Mg Os
3 1 1
Direct
0.0000 0.0000 0.5000
0.0000 0.5000 0.0000
0.5000 0.0000 0.0000
0.5000 0.5000 0.5000
0.0000 0.0000 0.0000
```

Main lines, by angle (2θ = 5–70°):
2θ/deg, I_rel
16.37, 100
28.54, 35
33.08, 85
37.12, 54
47.48, 62
50.55, 28
56.34, 15
59.08, 22
61.75, 12
69.41, 10

=====

(5)
Structure and calculated X-ray diffraction stick pattern of AlNi5 (the PBE geometry in Alexandria; Cu Kα, 1.54184 Å).
Neutral-atom scattering factors, no anomalous dispersion.

Structural model:
```
AlNi5
1.0
3.5720 0.0000 0.0000
0.0000 7.4895 0.0000
0.0000 0.0000 5.0037
Al Ni
2 10
Direct
0.2500 0.2500 0.1254
0.7500 0.7500 0.8746
0.2500 0.2500 0.6256
0.2500 0.5829 0.1293
0.2500 0.5826 0.6235
0.2500 0.9171 0.1293
0.2500 0.9174 0.6235
0.7500 0.0826 0.3765
0.7500 0.0829 0.8707
0.7500 0.4174 0.3765
0.7500 0.4171 0.8707
0.7500 0.7500 0.3744
```

Main lines, by angle (2θ = 5–70°):
2θ/deg, I_rel
17.73, 2
21.36, 2
23.76, 2
27.67, 2
33.05, 1
37.92, 1
39.23, 1
44.23, 100
51.14, 16
51.73, 31

=====

(6)
Structure and calculated X-ray diffraction stick pattern of Sm4InOs (the PBE geometry in Alexandria; Cu Kα, 1.54184 Å).
Neutral-atom scattering factors, no anomalous dispersion.

Structural model:
```
Sm4InOs
1.0
4.4438 -6.7414 0.0000
4.4438 6.7414 0.0000
-1.9479 0.0000 5.9157
Sm In Os
8 2 2
Direct
0.0593 0.7213 0.9499
0.2039 0.3535 0.6144
0.2787 0.9407 0.5501
0.3535 0.2039 0.1144
0.6465 0.7961 0.8856
0.7213 0.0593 0.4499
0.7961 0.6465 0.3856
0.9407 0.2787 0.0501
0.3762 0.6238 0.2500
0.6238 0.3762 0.7500
0.9997 0.0003 0.2500
0.0003 0.9997 0.7500
```

Main lines, by angle (2θ = 5–70°):
2θ/deg, I_rel
12.37, 72
13.13, 49
29.46, 31
31.35, 66
32.50, 100
33.82, 36
34.93, 43
35.08, 60
36.75, 50
37.72, 34

=====

(7)
Structure and calculated X-ray diffraction stick pattern of La7Y3Ho (the PBE geometry in Alexandria; Cu Kα, 1.54184 Å).
Neutral-atom scattering factors, no anomalous dispersion.

Structural model:
```
La7Y3Ho
1.0
6.6337 0.0000 0.0000
-0.7072 6.7728 0.0000
-1.3162 -1.7755 8.6838
La Y Ho
7 3 1
Direct
0.0000 0.0000 0.0000
0.0530 0.7139 0.6466
0.1986 0.2306 0.7061
0.4842 0.7289 0.9157
0.5158 0.2711 0.0843
0.8014 0.7694 0.2939
0.9470 0.2861 0.3534
0.3259 0.9252 0.3292
0.5000 0.5000 0.5000
0.6741 0.0748 0.6708
0.0000 0.5000 0.0000
```

Main lines, by angle (2θ = 5–70°):
2θ/deg, I_rel
26.92, 9
27.45, 16
30.46, 15
30.93, 40
31.02, 40
31.14, 16
31.42, 100
31.63, 14
32.47, 20
33.44, 19

=====

(8)
Structure and calculated X-ray diffraction stick pattern of DySiGe (the PBE geometry in Alexandria; Cu Kα, 1.54184 Å).
Neutral-atom scattering factors, no anomalous dispersion.

Structural model:
```
DySiGe
1.0
4.2862 0.0000 0.0000
-2.1431 3.7120 0.0000
0.0000 0.0000 3.8525
Dy Si Ge
1 1 1
Direct
0.0000 0.0000 0.0000
0.6667 0.3333 0.5000
0.3333 0.6667 0.5000
```

Main lines, by angle (2θ = 5–70°):
2θ/deg, I_rel
23.09, 3
23.97, 33
33.52, 100
42.17, 40
47.18, 10
49.09, 5
53.60, 8
54.91, 24
65.11, 22
66.66, 4